This entry pairs a crystal structure of La3P2Se with its computed powder X-ray diffraction pattern. Radiation: Cu Kα, 1.54184 Å. Structure: the GGA-PBE geometry in Alexandria.

Most intense lines, 2θ = 10–90°, in order of rising 2θ:
hkl, 2θ/deg, intensity
1 1 0, 25.44, 44
0 2 0, 29.46, 100
1 2 3, 42.13, 61
2 0 0, 42.25, 12
1 3 0, 49.84, 14
0 2 6, 52.19, 13
2 2 0, 52.33, 13
0 4 0, 61.13, 12
1 4 3, 69.24, 16
0 4 6, 76.95, 11

Atomic structure:
abc: 4.2784 6.0680 12.8834
angles: 90.00 90.00 90.00
Space group Immm (No. 71)
Inequivalent atoms, fractional coordinates:
La 0.0000 0.0000 0.0000
La 0.0000 0.0000 0.3250
P 0.0000 0.5000 0.3350
Se 0.0000 0.5000 0.0000